Simulated PXRD pattern of Sr6PrPb3N2 for CuKα, from a crystal structure in OQMD, relaxed with GGA-PBE.
Intensities are scaled so that the largest is 100.

Structure:
```
Sr6PrPb3N2
1.0
2.651 -12.671 0.000
2.651 12.671 0.000
0.000 0.000 5.282
Sr Pr Pb N
6 1 3 2
Direct
0.099 0.901 0.000
0.200 0.800 0.500
0.400 0.600 0.500
0.600 0.400 0.500
0.800 0.200 0.500
0.901 0.099 0.000
0.000 0.000 0.500
0.291 0.709 0.000
0.500 0.500 0.000
0.709 0.291 0.000
0.098 0.902 0.500
0.902 0.098 0.500
```

Most intense lines, 10° ≤ 2θ ≤ 80°, in order of rising 2θ:
- 13.98 deg, intensity 8
- 29.68 deg, intensity 100
- 33.81 deg, intensity 20
- 33.95 deg, intensity 20
- 35.42 deg, intensity 16
- 48.67 deg, intensity 14
- 49.82 deg, intensity 24
- 57.96 deg, intensity 15
- 58.13 deg, intensity 15
- 60.09 deg, intensity 11
- 61.62 deg, intensity 13
- 79.07 deg, intensity 7


Simulated PXRD pattern of Gd2Y5Ga for CuKα, from a crystal structure in OQMD, relaxed with GGA-PBE.
Intensities are scaled so that the largest is 100.

Structure:
```
Gd2Y5Ga
1.0
5.518 0.000 0.000
0.000 3.541 6.134
0.000 -3.541 6.134
Gd Y Ga
2 5 1
Direct
0.000 0.000 0.000
0.500 0.345 0.345
0.000 0.002 0.520
0.000 0.507 0.507
0.000 0.520 0.002
0.500 0.344 0.833
0.500 0.833 0.344
0.500 0.839 0.839
```

Most intense lines, 10° ≤ 2θ ≤ 80°, in order of rising 2θ:
- 21.66 deg, intensity 9
- 25.15 deg, intensity 3
- 29.12 deg, intensity 24
- 32.45 deg, intensity 24
- 33.43 deg, intensity 100
- 44.15 deg, intensity 15
- 51.62 deg, intensity 19
- 58.51 deg, intensity 20
- 62.30 deg, intensity 21
- 62.90 deg, intensity 15
- 70.22 deg, intensity 4
- 75.58 deg, intensity 3


Simulated PXRD pattern of Ba5Ta2Cl2O9 for CuKα, from a crystal structure in OQMD, relaxed with GGA-PBE.
Intensities are scaled so that the largest is 100.

Structure:
```
Ba5Ta2Cl2O9
1.0
5.963 0.000 0.000
-2.982 5.164 0.000
0.000 0.000 24.847
Ba Ta Cl O
10 4 4 18
Direct
0.333 0.667 0.080
0.333 0.667 0.250
0.333 0.667 0.420
0.333 0.667 0.671
0.333 0.667 0.829
0.667 0.333 0.171
0.667 0.333 0.329
0.667 0.333 0.580
0.667 0.333 0.750
0.667 0.333 0.920
0.000 0.000 0.189
0.000 0.000 0.311
0.000 0.000 0.689
0.000 0.000 0.811
0.333 0.667 0.547
0.333 0.667 0.953
0.667 0.333 0.047
0.667 0.333 0.453
0.149 0.298 0.750
0.149 0.851 0.750
0.163 0.327 0.155
0.163 0.327 0.345
0.163 0.837 0.155
0.163 0.837 0.345
0.298 0.149 0.250
0.327 0.163 0.655
0.327 0.163 0.845
0.673 0.837 0.155
0.673 0.837 0.345
0.702 0.851 0.750
0.837 0.163 0.655
0.837 0.163 0.845
0.837 0.673 0.655
0.837 0.673 0.845
0.851 0.149 0.250
0.851 0.702 0.250
```

Most intense lines, 10° ≤ 2θ ≤ 80°, in order of rising 2θ:
- 18.61 deg, intensity 36
- 24.86 deg, intensity 31
- 27.61 deg, intensity 22
- 29.97 deg, intensity 100
- 30.56 deg, intensity 35
- 30.84 deg, intensity 16
- 39.32 deg, intensity 21
- 42.01 deg, intensity 30
- 43.33 deg, intensity 20
- 53.21 deg, intensity 20
- 53.58 deg, intensity 14
- 62.28 deg, intensity 16


Simulated PXRD pattern of LiCd2HSe2O7 for CuKα, from a crystal structure in OQMD, relaxed with GGA-PBE.
Intensities are scaled so that the largest is 100.

Structure:
```
LiCd2HSe2O7
1.0
5.777 0.000 0.000
0.000 10.150 0.000
-0.039 0.000 11.417
Li Cd H Se O
4 8 4 8 28
Direct
0.122 0.193 0.139
0.122 0.307 0.639
0.878 0.693 0.361
0.878 0.807 0.861
0.134 0.596 0.105
0.134 0.904 0.605
0.356 0.612 0.788
0.356 0.888 0.288
0.644 0.112 0.712
0.644 0.388 0.212
0.866 0.096 0.395
0.866 0.404 0.895
0.324 0.097 0.445
0.324 0.403 0.945
0.676 0.597 0.055
0.676 0.903 0.555
0.114 0.092 0.857
0.114 0.408 0.357
0.406 0.667 0.493
0.406 0.833 0.993
0.594 0.167 0.007
0.594 0.333 0.507
0.886 0.592 0.643
0.886 0.908 0.143
0.010 0.223 0.776
0.010 0.277 0.276
0.133 0.003 0.151
0.133 0.497 0.651
0.137 0.733 0.463
0.137 0.767 0.963
0.225 0.019 0.435
0.225 0.481 0.935
0.293 0.008 0.758
0.293 0.492 0.258
0.422 0.243 0.599
0.422 0.257 0.099
0.460 0.750 0.124
0.460 0.750 0.624
0.540 0.250 0.376
0.540 0.250 0.876
0.578 0.743 0.901
0.578 0.757 0.401
0.707 0.508 0.742
0.707 0.992 0.242
0.775 0.519 0.065
0.775 0.981 0.565
0.863 0.233 0.037
0.863 0.267 0.537
0.867 0.503 0.349
0.867 0.997 0.849
0.990 0.723 0.724
0.990 0.777 0.224
```

Most intense lines, 10° ≤ 2θ ≤ 80°, in order of rising 2θ:
- 17.67 deg, intensity 66
- 19.14 deg, intensity 40
- 23.61 deg, intensity 43
- 24.63 deg, intensity 38
- 29.38 deg, intensity 100
- 30.69 deg, intensity 37
- 33.21 deg, intensity 88
- 33.30 deg, intensity 35
- 34.49 deg, intensity 50
- 35.11 deg, intensity 42
- 36.66 deg, intensity 42
- 50.72 deg, intensity 38


Simulated PXRD pattern of FeAg2B for CuKα, from a crystal structure in OQMD, relaxed with GGA-PBE.
Intensities are scaled so that the largest is 100.

Structure:
```
FeAg2B
1.0
0.000 2.979 2.979
2.979 0.000 2.979
2.979 2.979 0.000
Fe Ag B
1 2 1
Direct
0.000 0.000 0.000
0.250 0.250 0.250
0.500 0.500 0.500
0.750 0.750 0.750
```

Most intense lines, 10° ≤ 2θ ≤ 80°, in order of rising 2θ:
- 25.90 deg, intensity 42
- 30.00 deg, intensity 4
- 42.93 deg, intensity 100
- 50.83 deg, intensity 20
- 53.26 deg, intensity 1
- 62.34 deg, intensity 15
- 68.66 deg, intensity 8
- 70.71 deg, intensity 1
- 78.67 deg, intensity 31


Simulated PXRD pattern of YIn4GaCo for CuKα, from a crystal structure in OQMD, relaxed with GGA-PBE.
Intensities are scaled so that the largest is 100.

Structure:
```
YIn4GaCo
1.0
4.503 0.000 0.000
0.000 4.503 0.000
0.000 0.000 7.456
Y In Ga Co
1 4 1 1
Direct
0.000 0.000 0.000
0.000 0.500 0.303
0.000 0.500 0.697
0.500 0.000 0.303
0.500 0.000 0.697
0.500 0.500 0.000
0.000 0.000 0.500
```

Most intense lines, 10° ≤ 2θ ≤ 80°, in order of rising 2θ:
- 28.02 deg, intensity 17
- 30.53 deg, intensity 31
- 36.14 deg, intensity 19
- 37.13 deg, intensity 100
- 40.05 deg, intensity 55
- 46.34 deg, intensity 13
- 55.03 deg, intensity 22
- 57.92 deg, intensity 18
- 66.89 deg, intensity 6
- 69.62 deg, intensity 14
- 70.21 deg, intensity 10
- 70.83 deg, intensity 28


Simulated PXRD pattern of MgZn2Sn2 for CuKα, from a crystal structure in OQMD, relaxed with GGA-PBE.
Intensities are scaled so that the largest is 100.

Structure:
```
MgZn2Sn2
1.0
-2.202 2.202 6.130
2.202 -2.202 6.130
2.202 2.202 -6.130
Mg Zn Sn
1 2 2
Direct
0.000 0.000 0.000
0.250 0.750 0.500
0.750 0.250 0.500
0.385 0.385 0.000
0.615 0.615 0.000
```

Most intense lines, 10° ≤ 2θ ≤ 80°, in order of rising 2θ:
- 14.45 deg, intensity 20
- 21.44 deg, intensity 100
- 29.83 deg, intensity 50
- 32.24 deg, intensity 60
- 40.99 deg, intensity 67
- 41.33 deg, intensity 97
- 42.18 deg, intensity 43
- 46.71 deg, intensity 27
- 51.51 deg, intensity 22
- 59.36 deg, intensity 22
- 60.27 deg, intensity 30
- 74.90 deg, intensity 34


Simulated PXRD pattern of Rb4TcGeS6 for CuKα, from a crystal structure in OQMD, relaxed with GGA-PBE.
Intensities are scaled so that the largest is 100.

Structure:
```
Rb4TcGeS6
1.0
6.911 0.000 0.000
3.326 6.825 0.000
3.272 1.497 8.164
Rb Tc Ge S
4 1 1 6
Direct
0.000 0.000 0.000
0.168 0.385 0.276
0.421 0.729 0.445
0.767 0.629 0.816
0.459 0.247 0.827
0.718 0.126 0.443
0.276 0.559 0.862
0.367 0.174 0.640
0.472 0.013 0.048
0.706 0.361 0.223
0.800 0.201 0.647
0.902 0.814 0.404
```

Most intense lines, 10° ≤ 2θ ≤ 80°, in order of rising 2θ:
- 15.83 deg, intensity 32
- 21.77 deg, intensity 26
- 25.02 deg, intensity 43
- 25.22 deg, intensity 42
- 25.79 deg, intensity 100
- 26.83 deg, intensity 52
- 27.55 deg, intensity 43
- 31.93 deg, intensity 25
- 33.22 deg, intensity 22
- 33.67 deg, intensity 22
- 43.84 deg, intensity 24
- 53.01 deg, intensity 22